# Hf4AsP
Calculated powder diffraction line list, Cu Kα, 1.54184 Å. Input: a structure optimized by DFT (GGA-PBE).

Most intense lines, 5 to 70 degrees two-theta, in order of rising 2θ:
| Position (°2θ) | d [Å] | I_rel | (hkl) |
| --- | --- | --- | --- |
| 26.9 | 3.319 | 36 | 2 0 0 |
| 31.1 | 2.873 | 87 | 0 2 0 |
| 32.8 | 2.730 | 100 | 0 1 2 |
| 34.9 | 2.572 | 78 | 2 1 -2 |
| 41.6 | 2.171 | 46 | 2 2 0 |
| 47.1 | 1.930 | 18 | 2 0 2 |
| 49.9 | 1.829 | 19 | 2 1 2 |
| 55.0 | 1.670 | 17 | 2 0 -4 |
| 56.5 | 1.629 | 17 | 0 3 2 |
| 57.8 | 1.594 | 33 | 4 1 0 |

Structural model:
a = 7.176 Å, b = 5.743 Å, c = 6.709 Å
α = 90.00°, β = 112.35°, γ = 90.00°
Space group P2_1/c (No. 14)
Unique sites:
Hf (0.185, 0.222, 0.347)
Hf (0.289, 0.722, 0.140)
As (0.500, 0.000, 0.000)
P (0.000, 0.000, 0.000)